Record 1
Theoretical PXRD pattern
Compound: Pm2NdPuS4
Radiation: λ = 1.5418 Å (Cu Kα)
Structure: a structure optimized by DFT (PBE)
Intensities are scaled so that the largest is 100.

The 12 most intense peaks (2θ from 10° to 90°), in order of rising 2θ:
Position (°2θ)	I/Imax
27.1	43
27.2	42
31.4	100
44.9	12
45.1	49
45.2	12
53.3	18
53.5	14
55.8	13
56.1	13
65.6	12
74.6	22

Structural model:
Cell: 6.9766 4.0106 6.9815 Å, 90.00 109.27 90.00°
Element x y z (fractional)
Pm (0.0000, 0.0000, 0.0000)
Pm (0.0000, 0.5000, 0.5000)
Nd (0.5000, 0.0000, 0.5000)
Pu (0.5000, 0.5000, 0.0000)
S (0.2503, 0.5000, 0.2457)
S (0.2539, 0.0000, 0.7558)
S (0.7461, 0.0000, 0.2442)
S (0.7497, 0.5000, 0.7543)

=====

Record 2
Theoretical PXRD pattern
Compound: PrZn4Ni
Radiation: λ = 1.5418 Å (Cu Kα)
Structure: a structure optimized by DFT (PBE)
Intensities are scaled so that the largest is 100.

The 12 most intense peaks (2θ from 10° to 90°), in order of rising 2θ:
Position (°2θ)	I/Imax
30.2	35
33.6	45
37.5	100
38.1	42
45.8	17
54.5	37
55.4	8
66.0	6
68.4	7
68.9	7
69.2	8
70.2	10

Structural model:
Cell: 7.3330 7.3330 6.6337 Å, 90.00 90.00 142.38°
Element x y z (fractional)
Pr (0.1019, 0.8981, 0.7500)
Pr (0.8981, 0.1019, 0.2500)
Zn (0.1188, 0.8812, 0.2500)
Zn (0.2850, 0.7150, 0.0565)
Zn (0.2850, 0.7150, 0.4435)
Zn (0.5000, 0.5000, 0.0000)
Zn (0.5000, 0.5000, 0.5000)
Zn (0.7150, 0.2850, 0.5565)
Zn (0.7150, 0.2850, 0.9435)
Zn (0.8812, 0.1188, 0.7500)
Ni (0.3768, 0.6232, 0.7500)
Ni (0.6232, 0.3768, 0.2500)

=====

Record 3
Theoretical PXRD pattern
Compound: KGe3Ir3
Radiation: λ = 1.5418 Å (Cu Kα)
Structure: a structure optimized by DFT (PBE)
Intensities are scaled so that the largest is 100.

The 12 most intense peaks (2θ from 10° to 90°), in order of rising 2θ:
Position (°2θ)	I/Imax
10.7	100
16.7	14
28.4	14
32.5	15
34.1	10
40.7	30
41.2	12
42.2	9
43.2	17
50.5	12
55.5	8
58.2	8

Structural model:
Cell: 9.1587 9.1587 9.1587 Å, 43.58 43.58 43.58°
Element x y z (fractional)
K (0.1682, 0.1682, 0.1682)
K (0.8318, 0.8318, 0.8318)
Ge (0.1426, 0.7157, 0.3145)
Ge (0.2843, 0.6855, 0.8574)
Ge (0.3145, 0.1426, 0.7157)
Ge (0.6855, 0.8574, 0.2843)
Ge (0.7157, 0.3145, 0.1426)
Ge (0.8574, 0.2843, 0.6855)
Ir (0.0614, 0.5299, 0.2844)
Ir (0.2844, 0.0614, 0.5299)
Ir (0.4701, 0.7156, 0.9386)
Ir (0.5299, 0.2844, 0.0614)
Ir (0.7156, 0.9386, 0.4701)
Ir (0.9386, 0.4701, 0.7156)